Computed powder XRD pattern of PrZnCo for a wavelength of 1.5418 Å, from a crystal structure in Alexandria, relaxed with GGA-PBE.
Peak positions follow from Bragg's law for the DFT cell and can differ from measured ones.

Cell and atoms:
a b c (Å): 12.143 4.022 5.123
angles (deg): 90.00 105.24 90.00
Sites, in units of the cell vectors:
Pr: 0.121 0.000 0.310
Pr: 0.379 0.500 0.690
Pr: 0.621 0.500 0.310
Pr: 0.879 0.000 0.690
Zn: 0.090 0.500 0.775
Zn: 0.410 0.000 0.225
Zn: 0.590 0.000 0.775
Zn: 0.910 0.500 0.225
Co: 0.221 0.000 0.887
Co: 0.279 0.500 0.113
Co: 0.721 0.500 0.887
Co: 0.779 0.000 0.113

Main lines, sorted by position (2θ = 10–90°):
Position (°2θ)	I/Imax
26.47	18
30.52	27
30.86	44
31.94	32
33.66	100
35.52	31
36.35	23
39.86	51
41.85	20
45.08	36
58.05	20
63.40	19